Entry 1:
MgIn2: theoretical X-ray powder pattern (Cu Ka), based on a PBE-relaxed structure.
Kinematic intensities with the Lorentz-polarization factor, no thermal factor.

Main lines, in order of rising 2θ (10° ≤ 2θ ≤ 80°):
16.28°, I 375; 30.91°, I 334; 32.83°, I 790; 34.21°, I 1000; 35.65°, I 373; 35.99°, I 897

Structural model:
```
6
Lattice="5.8452 -1.7180 0.0000 5.8452 1.7180 0.0000 -2.9484 0.0000 7.5550" Properties=species:S:1:pos:R:3 pbc="T T T"
Mg -0.5718 0.0000 2.2723
Mg 9.3138 0.0000 5.2827
In 2.5730 0.0000 2.7727
In 1.3499 0.0000 7.3065
In 7.3921 0.0000 0.2485
In 6.1690 0.0000 4.7824
```


Entry 2:
MgIn2: theoretical X-ray powder pattern (Cu Ka), based on a PBE-relaxed structure.
Kinematic intensities with the Lorentz-polarization factor, no thermal factor.

Main lines, in order of rising 2θ (10° ≤ 2θ ≤ 80°):
17.71°, I 903; 34.29°, I 1000; 35.86°, I 882; 41.65°, I 343; 55.01°, I 330; 60.37°, I 342

Structural model:
```
6
Lattice="0.0000 4.3369 4.3369 4.3369 0.0000 4.3369 4.3369 4.3369 0.0000" Properties=species:S:1:pos:R:3 pbc="T T T"
Mg 1.0842 1.0842 1.0842
Mg 7.5895 7.5895 7.5895
In 4.3369 2.1684 2.1684
In 2.1684 4.3369 2.1684
In 2.1684 2.1684 4.3369
In 4.3369 4.3369 4.3369
```